The following is a computed powder diffraction line list of Tb3PmSb3. It was derived from a structure optimized by DFT (GGA-PBE), using Cu Kα X-rays.
Lines closer than 0.1° are merged.

Most intense lines, 2θ from 15° to 90°, low angle first:
2θ/deg  I/Imax
30.43  100
36.18  67
43.57  10
45.82  8
47.98  18
50.07  24
61.54  25
63.32  12
65.07  14
75.16  15

Structural model:
Lattice parameters (Å, degrees): 9.2895 9.2895 9.2895 90.00 90.00 90.00
Element x y z (fractional)
Tb 0.0741 0.4259 0.5741
Tb 0.1788 0.1788 0.1788
Tb 0.1798 0.8202 0.3202
Tb 0.3202 0.1798 0.8202
Tb 0.3212 0.8212 0.6788
Tb 0.4259 0.5741 0.0741
Tb 0.5741 0.0741 0.4259
Tb 0.6788 0.3212 0.8212
Tb 0.6798 0.6798 0.6798
Tb 0.8202 0.3202 0.1798
Tb 0.8212 0.6788 0.3212
Tb 0.9259 0.9259 0.9259
Pm 0.0703 0.5703 0.9297
Pm 0.4297 0.4297 0.4297
Pm 0.5703 0.9297 0.0703
Pm 0.9297 0.0703 0.5703
Sb 0.0010 0.7460 0.6227
Sb 0.1227 0.4990 0.2540
Sb 0.2460 0.8773 0.9990
Sb 0.2540 0.1227 0.4990
Sb 0.3773 0.5010 0.7540
Sb 0.4990 0.2540 0.1227
Sb 0.5010 0.7540 0.3773
Sb 0.6227 0.0010 0.7460
Sb 0.7460 0.6227 0.0010
Sb 0.7540 0.3773 0.5010
Sb 0.8773 0.9990 0.2460
Sb 0.9990 0.2460 0.8773

***

The following is a computed powder diffraction line list of KTm6S8. It was derived from a structure optimized by DFT (GGA-PBE), using Cu Kα X-rays.
Lines closer than 0.1° are merged.

Most intense lines, 2θ from 15° to 90°, low angle first:
2θ/deg  I/Imax
21.58  39
25.47  100
28.42  86
30.39  29
34.29  28
36.60  40
38.19  33
39.04  65
44.29  23
55.51  27

Structural model:
Lattice parameters (Å, degrees): 7.6371 7.6371 7.6371 93.67 93.67 93.67
Element x y z (fractional)
K 0.0000 0.0000 0.0000
Tm 0.1954 0.3819 0.5649
Tm 0.3819 0.5649 0.1954
Tm 0.4351 0.8046 0.6181
Tm 0.5649 0.1954 0.3819
Tm 0.6181 0.4351 0.8046
Tm 0.8046 0.6181 0.4351
S 0.1435 0.6918 0.4066
S 0.2485 0.2485 0.2485
S 0.3082 0.5934 0.8565
S 0.4066 0.1435 0.6918
S 0.5934 0.8565 0.3082
S 0.6918 0.4066 0.1435
S 0.7515 0.7515 0.7515
S 0.8565 0.3082 0.5934